# 1
Structure and theoretical powder XRD pattern of ReSb2Se (a crystal structure in Alexandria, relaxed with GGA-PBE; λ = 1.5418 Å (Cu Kα)).
No peak broadening, texture or thermal motion is included.

The 12 most intense peaks (2θ from 10° to 90°), sorted by position:
2θ (°)  intensity  hkl
17.36  20  0 0 2
18.64  29  0 1 1
32.39  100  1 0 2
33.31  54  0 2 0
35.14  26  0 0 4
41.72  23  1 1 3
47.15  70  1 2 2
47.62  11  0 1 5
49.20  20  0 2 4
55.95  12  2 0 0
66.69  14  2 2 0
79.21  15  1 4 2

```
data_ReSb2Se
_space_group_name_H-M_alt 'A m m 2'
_space_group_IT_number 38
_cell_length_a 3.287
_cell_length_b 5.379
_cell_length_c 10.214
_cell_angle_alpha 90.00
_cell_angle_beta 90.00
_cell_angle_gamma 90.00
loop_
_space_group_symop_operation_xyz
'x,y,z'
'-x,-y,z'
'-x,y,z'
'x,-y,z'
'x,y+1/2,z+1/2'
'-x,-y+1/2,z+1/2'
'-x,y+1/2,z+1/2'
'x,-y+1/2,z+1/2'
loop_
_atom_site_label
_atom_site_fract_x
_atom_site_fract_y
_atom_site_fract_z
_atom_site_occupancy
Re1 0.000 0.000 0.000 1
Sb1 0.000 0.000 0.496 1
Sb2 0.500 0.000 0.217 1
Se1 0.500 0.000 0.817 1
```

***

# 2
Structure and theoretical powder XRD pattern of SmErThSc (a crystal structure in Alexandria, relaxed with GGA-PBE; λ = 1.5418 Å (Cu Kα)).
No peak broadening, texture or thermal motion is included.

The 12 most intense peaks (2θ from 10° to 90°), sorted by position:
2θ (°)  intensity  hkl
15.87  12  0 0 6
29.30  17  1 0 1
29.67  20  0 1 2
31.11  19  1 0 4
32.12  100  0 0 12
34.79  46  1 0 7
39.89  14  1 0 10
51.73  25  1 1 0
55.45  17  0 1 17
60.59  10  1 0 19
62.18  38  1 1 12
89.45  10  1 1 24

```
data_SmErThSc
_space_group_name_H-M_alt 'R 3 m'
_space_group_IT_number 160
_space_group_name_Hall 'R 3 -2"'
_cell_length_a 3.5346
_cell_length_b 3.5346
_cell_length_c 33.5070
_cell_angle_alpha 90.00
_cell_angle_beta 90.00
_cell_angle_gamma 120.00
loop_
_atom_site_label
_atom_site_fract_x
_atom_site_fract_y
_atom_site_fract_z
_atom_site_occupancy
Sm1 0.0000 0.0000 0.0000 1
Er1 0.0000 0.0000 0.7545 1
Th1 0.0000 0.0000 0.1712 1
Sc1 0.0000 0.0000 0.5838 1
```

***

# 3
Structure and theoretical powder XRD pattern of Sm3Cu2Ni (a crystal structure in Alexandria, relaxed with GGA-PBE; λ = 1.5418 Å (Cu Kα)).
No peak broadening, texture or thermal motion is included.

The 12 most intense peaks (2θ from 10° to 90°), sorted by position:
2θ (°)  intensity  hkl
27.02  54  2 1 1
28.25  42  3 0 2
30.59  42  2 1 2
32.12  42  3 1 1
32.23  100  0 1 3
33.16  25  1 1 3
33.79  34  1 0 4
35.23  67  3 1 2
38.24  47  4 1 1
39.92  28  1 1 4
41.94  63  0 2 0
51.22  26  5 1 3

```
data_Sm3Cu2Ni
_space_group_name_H-M_alt 'P n m a'
_space_group_IT_number 62
_cell_length_a 11.633
_cell_length_b 4.309
_cell_length_c 10.897
_cell_angle_alpha 90.00
_cell_angle_beta 90.00
_cell_angle_gamma 90.00
loop_
_space_group_symop_operation_xyz
'x,y,z'
'-x,-y,-z'
'-x+1/2,-y,z+1/2'
'x+1/2,y,-z+1/2'
'x+1/2,-y+1/2,-z+1/2'
'-x+1/2,y+1/2,z+1/2'
'-x,y+1/2,-z'
'x,-y+1/2,z'
loop_
_atom_site_label
_atom_site_fract_x
_atom_site_fract_y
_atom_site_fract_z
_atom_site_occupancy
Sm1 0.053 0.250 0.125 1
Sm2 0.112 0.750 0.561 1
Sm3 0.225 0.250 0.798 1
Cu1 0.019 0.750 0.309 1
Cu2 0.202 0.750 0.003 1
Ni1 0.123 0.250 0.372 1
```

***

# 4
Structure and theoretical powder XRD pattern of K2Li2PdF6 (a crystal structure in Alexandria, relaxed with GGA-PBE; λ = 1.5418 Å (Cu Kα)).
No peak broadening, texture or thermal motion is included.

The 12 most intense peaks (2θ from 10° to 90°), sorted by position:
2θ (°)  intensity  hkl
14.53  18  0 0 1
18.60  13  1 0 0
23.68  100  1 0 1
32.51  21  1 1 0
35.78  15  1 1 1
40.62  26  2 0 1
44.33  54  1 1 2
48.71  15  1 0 3
52.97  22  3 -1 1
58.01  17  3 0 0
70.64  10  2 -1 4
75.81  9  4 -2 2

```
data_K2Li2PdF6
_space_group_name_H-M_alt 'P -3 1 m'
_space_group_IT_number 162
_space_group_name_Hall '-P 3 2'
_cell_length_a 5.5075
_cell_length_b 5.5075
_cell_length_c 6.0963
_cell_angle_alpha 90.00
_cell_angle_beta 90.00
_cell_angle_gamma 120.00
loop_
_atom_site_label
_atom_site_fract_x
_atom_site_fract_y
_atom_site_fract_z
_atom_site_occupancy
K1 0.3333 0.6667 0.0000 1
Li1 0.3333 0.6667 0.5000 1
Pd1 0.0000 0.0000 0.5000 1
F1 0.0000 0.3485 0.3145 1
```

***

# 5
Structure and theoretical powder XRD pattern of Sm2Si4Mo3 (a crystal structure in Alexandria, relaxed with GGA-PBE; λ = 1.5418 Å (Cu Kα)).
No peak broadening, texture or thermal motion is included.

The 12 most intense peaks (2θ from 10° to 90°), sorted by position:
2θ (°)  intensity  hkl
27.22  20  2 0 0
29.03  35  0 2 1
29.44  28  1 1 -2
30.13  35  1 2 -1
34.08  34  1 2 1
34.48  33  2 1 -2
36.87  100  2 2 -1
37.07  94  1 1 2
37.64  30  2 2 0
41.19  47  0 3 1
41.34  22  3 0 0
41.67  66  3 0 -2

```
data_Sm2Si4Mo3
_space_group_name_H-M_alt 'P 1 21/c 1'
_space_group_IT_number 14
_cell_length_a 6.930
_cell_length_b 6.988
_cell_length_c 6.843
_cell_angle_alpha 90.00
_cell_angle_beta 108.99
_cell_angle_gamma 90.00
loop_
_space_group_symop_operation_xyz
'x,y,z'
'-x,-y,-z'
'-x,y+1/2,-z+1/2'
'x,-y+1/2,z+1/2'
loop_
_atom_site_label
_atom_site_fract_x
_atom_site_fract_y
_atom_site_fract_z
_atom_site_occupancy
Sm1 0.189 0.168 0.061 1
Si1 0.093 0.548 0.872 1
Si2 0.493 0.632 0.628 1
Mo1 0.253 0.662 0.250 1
Mo2 0.500 0.000 0.500 1
```

***

# 6
Structure and theoretical powder XRD pattern of Th2PaN3 (a crystal structure in Alexandria, relaxed with GGA-PBE; λ = 1.5418 Å (Cu Kα)).
No peak broadening, texture or thermal motion is included.

The 12 most intense peaks (2θ from 10° to 90°), sorted by position:
2θ (°)  intensity  hkl
30.31  34  2 0 0
30.40  100  0 0 2
35.22  87  1 3 1
50.61  31  2 0 2
50.72  31  1 3 -3
60.17  26  3 3 1
60.26  36  2 6 0
63.25  16  0 0 4
74.47  10  4 0 -4
82.60  13  2 6 -4
85.05  15  3 3 3
85.23  14  3 3 -5

```
data_Th2PaN3
_space_group_name_H-M_alt 'C 1 2/c 1'
_space_group_IT_number 15
_cell_length_a 6.251
_cell_length_b 10.800
_cell_length_c 6.235
_cell_angle_alpha 90.00
_cell_angle_beta 109.38
_cell_angle_gamma 90.00
loop_
_space_group_symop_operation_xyz
'x,y,z'
'-x,-y,-z'
'-x,y,-z+1/2'
'x,-y,z+1/2'
'x+1/2,y+1/2,z'
'-x+1/2,-y+1/2,-z'
'-x+1/2,y+1/2,-z+1/2'
'x+1/2,-y+1/2,z+1/2'
loop_
_atom_site_label
_atom_site_fract_x
_atom_site_fract_y
_atom_site_fract_z
_atom_site_occupancy
Th1 0.000 0.084 0.250 1
Th2 0.000 0.248 0.750 1
Pa1 0.000 0.416 0.250 1
N1 0.227 0.424 0.993 1
N2 0.250 0.250 0.500 1
```

***

# 7
Structure and theoretical powder XRD pattern of CaAs2Br8 (a crystal structure in Alexandria, relaxed with GGA-PBE; λ = 1.5418 Å (Cu Kα)).
No peak broadening, texture or thermal motion is included.

The 12 most intense peaks (2θ from 10° to 90°), sorted by position:
2θ (°)  intensity  hkl
11.10  28  1 1 0
14.80  77  0 2 0
22.11  22  2 0 1
23.80  25  1 3 0
24.04  100  0 0 2
30.56  58  3 1 1
33.06  59  1 3 -2
35.51  23  2 4 -1
41.59  24  3 1 -3
45.47  25  0 6 0
45.65  21  2 2 3
48.31  27  5 3 0

```
data_CaAs2Br8
_space_group_name_H-M_alt 'C 1 2/m 1'
_space_group_IT_number 12
_cell_length_a 10.841
_cell_length_b 11.971
_cell_length_c 7.500
_cell_angle_alpha 90.00
_cell_angle_beta 99.70
_cell_angle_gamma 90.00
loop_
_space_group_symop_operation_xyz
'x,y,z'
'-x,-y,-z'
'-x,y,-z'
'x,-y,z'
'x+1/2,y+1/2,z'
'-x+1/2,-y+1/2,-z'
'-x+1/2,y+1/2,-z'
'x+1/2,-y+1/2,z'
loop_
_atom_site_label
_atom_site_fract_x
_atom_site_fract_y
_atom_site_fract_z
_atom_site_occupancy
Ca1 0.000 0.000 0.000 1
As1 0.189 0.000 0.597 1
Br1 0.100 0.500 0.271 1
Br2 0.110 0.162 0.772 1
Br3 0.235 0.000 0.249 1
```

***

# 8
Structure and theoretical powder XRD pattern of Tb4Nd4Sm (a crystal structure in Alexandria, relaxed with GGA-PBE; λ = 1.5418 Å (Cu Kα)).
No peak broadening, texture or thermal motion is included.

The 12 most intense peaks (2θ from 10° to 90°), sorted by position:
2θ (°)  intensity  hkl
30.22  100  3 1 0
35.03  51  2 0 3
50.36  30  2 2 3
50.45  6  6 0 0
59.86  36  3 3 0
59.96  7  7 1 -3
62.83  12  6 2 0
73.97  4  0 4 0
81.94  12  5 3 -6
82.06  6  7 3 -3
84.54  11  2 4 3
84.68  5  10 0 -3

```
data_Tb4Nd4Sm
_space_group_name_H-M_alt 'C 1 2/m 1'
_space_group_IT_number 12
_cell_length_a 11.438
_cell_length_b 5.128
_cell_length_c 10.874
_cell_angle_alpha 90.00
_cell_angle_beta 108.41
_cell_angle_gamma 90.00
loop_
_space_group_symop_operation_xyz
'x,y,z'
'-x,-y,-z'
'-x,y,-z'
'x,-y,z'
'x+1/2,y+1/2,z'
'-x+1/2,-y+1/2,-z'
'-x+1/2,y+1/2,-z'
'x+1/2,-y+1/2,z'
loop_
_atom_site_label
_atom_site_fract_x
_atom_site_fract_y
_atom_site_fract_z
_atom_site_occupancy
Tb1 0.166 0.000 0.054 1
Tb2 0.169 0.000 0.725 1
Nd1 0.001 0.500 0.834 1
Nd2 0.166 0.000 0.388 1
Sm1 0.000 0.500 0.500 1
```

***

Question: Number 5 is which compound?
Answer: Sm2Si4Mo3